Record 1
Calculated PXRD pattern of La2PrCdHg4 for Cu Kα (λ = 1.5418 Å), from the PBE geometry in Alexandria.

Peak list (10 most intense, 2θ from 5° to 70°, in order of falling intensity)
2θ = 32.42°, intensity 100, (0 1 8); 2θ = 33.72°, intensity 97, (1 1 0); 2θ = 59.49°, intensity 36, (1 2 8); 2θ = 47.48°, intensity 35, (2 0 8); 2θ = 60.31°, intensity 18, (3 0 0); 2θ = 57.00°, intensity 16, (1 0 16); 2θ = 23.22°, intensity 10, (1 0 4); 2θ = 67.89°, intensity 10, (0 2 16); 2θ = 45.14°, intensity 4, (1 1 9); 2θ = 52.62°, intensity 4, (1 1 12)

Atomic structure:
a = 5.3164 Å, b = 5.3164 Å, c = 27.6045 Å
α = 90.00°, β = 90.00°, γ = 120.00°
Space group R-3m (No. 166, hexagonal axes)
One atom of each set of equivalent atoms:
La 0.0000 0.0000 0.2399 x6
Pr 0.0000 0.0000 0.0000 x3
Cd 0.0000 0.0000 0.5000 x3
Hg 0.0000 0.0000 0.1231 x6
Hg 0.0000 0.0000 0.3706 x6


Record 2
Calculated PXRD pattern of Li7CdHg2 for Cu Kα (λ = 1.5418 Å), from the PBE geometry in Alexandria.

Peak list (10 most intense, 2θ from 5° to 70°, in order of falling intensity)
2θ = 23.87°, intensity 100, (1 0 1); 2θ = 28.26°, intensity 44, (0 1 2); 2θ = 39.00°, intensity 33, (1 1 0); 2θ = 34.45°, intensity 28, (1 0 3); 2θ = 41.76°, intensity 27, (0 1 4); 2θ = 17.24°, intensity 22, (0 0 2); 2θ = 46.24°, intensity 18, (0 2 1); 2θ = 62.04°, intensity 15, (2 1 1); 2θ = 60.25°, intensity 14, (1 1 5); 2θ = 42.93°, intensity 14, (1 1 2)

Atomic structure:
a = 4.6192 Å, b = 4.6192 Å, c = 10.2853 Å
α = 90.00°, β = 90.00°, γ = 120.00°
Space group P3m1 (No. 156)
One atom of each set of equivalent atoms:
Li 0.0000 0.0000 0.0000 x1
Li 0.0000 0.0000 0.2453 x1
Li 0.0000 0.0000 0.7494 x1
Li 0.3333 0.6667 0.3946 x1
Li 0.3333 0.6667 0.8071 x1
Li 0.6667 0.3333 0.1931 x1
Li 0.6667 0.3333 0.5999 x1
Cd 0.6667 0.3333 0.8998 x1
Hg 0.0000 0.0000 0.4976 x1
Hg 0.3333 0.6667 0.1050 x1


Record 3
Calculated PXRD pattern of Li3Cd2Hg8 for Cu Kα (λ = 1.5418 Å), from the PBE geometry in Alexandria.

Peak list (10 most intense, 2θ from 5° to 70°, in order of falling intensity)
2θ = 37.29°, intensity 100, (2 1 1); 2θ = 27.94°, intensity 88, (2 1 -1); 2θ = 37.00°, intensity 56, (1 1 -3); 2θ = 35.50°, intensity 54, (0 2 0); 2θ = 24.20°, intensity 49, (0 0 2); 2θ = 67.79°, intensity 24, (5 1 -5); 2θ = 43.43°, intensity 22, (0 2 2); 2θ = 24.78°, intensity 21, (2 0 -2); 2θ = 64.92°, intensity 21, (2 3 1); 2θ = 21.52°, intensity 20, (2 0 -1)

Atomic structure:
a = 8.2350 Å, b = 5.0579 Å, c = 8.4281 Å
α = 90.00°, β = 119.23°, γ = 90.00°
Space group P2/m (No. 10)
One atom of each set of equivalent atoms:
Li 0.0000 0.0000 0.0000 x1
Li 0.2947 0.5000 0.9988 x2
Cd 0.2223 0.0000 0.4407 x2
Hg 0.1102 0.5000 0.2193 x2
Hg 0.1907 0.0000 0.7906 x2
Hg 0.3350 0.5000 0.6689 x2
Hg 0.3999 0.0000 0.2056 x2


Record 4
Calculated PXRD pattern of Li11Cd4Hg9 for Cu Kα (λ = 1.5418 Å), from the PBE geometry in Alexandria.

Peak list (10 most intense, 2θ from 5° to 70°, in order of falling intensity)
2θ = 27.05°, intensity 100, (0 0 1); 2θ = 37.44°, intensity 63, (4 6 0); 2θ = 46.79°, intensity 62, (4 6 1); 2θ = 24.97°, intensity 55, (4 0 0); 2θ = 27.45°, intensity 49, (0 6 0); 2θ = 38.92°, intensity 49, (0 6 1); 2θ = 23.65°, intensity 46, (1 5 0); 2θ = 37.14°, intensity 45, (4 0 1); 2θ = 36.23°, intensity 36, (1 5 1); 2θ = 42.14°, intensity 27, (5 1 1)

Atomic structure:
a = 14.2656 Å, b = 19.4973 Å, c = 3.2967 Å
α = 90.00°, β = 90.00°, γ = 90.00°
Space group Cmmm (No. 65)
One atom of each set of equivalent atoms:
Li 0.0000 0.0000 0.0000 x2
Li 0.0000 0.1833 0.0000 x4
Li 0.0000 0.3652 0.0000 x4
Li 0.2064 0.0000 0.0000 x4
Li 0.2261 0.1782 0.0000 x8
Cd 0.1689 0.4176 0.5000 x8
Hg 0.0000 0.5000 0.5000 x2
Hg 0.1102 0.0935 0.5000 x8
Hg 0.1163 0.2681 0.5000 x8


Record 5
Calculated PXRD pattern of LiCd3Hg for Cu Kα (λ = 1.5418 Å), from the PBE geometry in Alexandria.

Peak list (10 most intense, 2θ from 5° to 70°, in order of falling intensity)
2θ = 35.30°, intensity 100, (1 5 1); 2θ = 21.71°, intensity 17, (0 2 1); 2θ = 40.35°, intensity 16, (2 0 0); 2θ = 40.79°, intensity 16, (0 0 2); 2θ = 23.42°, intensity 16, (1 3 0); 2θ = 41.81°, intensity 15, (0 10 0); 2θ = 58.72°, intensity 11, (2 0 2); 2θ = 59.50°, intensity 10, (2 10 0); 2θ = 59.84°, intensity 10, (0 10 2); 2θ = 20.28°, intensity 8, (1 1 0)

Atomic structure:
a = 4.4708 Å, b = 21.6055 Å, c = 4.4244 Å
α = 90.00°, β = 90.00°, γ = 90.00°
Space group Cmcm (No. 63)
One atom of each set of equivalent atoms:
Li 0.0000 0.1497 0.2500 x4
Cd 0.0000 0.0510 0.7500 x4
Cd 0.0000 0.2503 0.7500 x4
Cd 0.0000 0.4477 0.7500 x4
Hg 0.0000 0.3482 0.2500 x4


Record 6
Calculated PXRD pattern of Li2Cd5Hg3 for Cu Kα (λ = 1.5418 Å), from the PBE geometry in Alexandria.

Peak list (10 most intense, 2θ from 5° to 70°, in order of falling intensity)
2θ = 39.00°, intensity 100, (6 2 1); 2θ = 36.96°, intensity 97, (7 1 1); 2θ = 29.44°, intensity 90, (5 1 -1); 2θ = 26.84°, intensity 75, (6 0 0); 2θ = 38.68°, intensity 66, (1 3 1); 2θ = 35.29°, intensity 63, (3 1 -2); 2θ = 30.29°, intensity 63, (0 0 2); 2θ = 35.43°, intensity 61, (1 3 0); 2θ = 27.76°, intensity 54, (0 2 1); 2θ = 8.87°, intensity 51, (2 0 0)

Atomic structure:
a = 19.9326 Å, b = 7.6617 Å, c = 5.9007 Å
α = 90.00°, β = 90.18°, γ = 90.00°
Space group C2/c (No. 15)
One atom of each set of equivalent atoms:
Li 0.2244 0.1804 0.2502 x8
Cd 0.0000 0.4679 0.7500 x4
Cd 0.0818 0.2112 0.2444 x8
Cd 0.1591 0.4974 0.4991 x8
Hg 0.0000 0.1057 0.7500 x4
Hg 0.1587 0.1358 0.7512 x8


Record 7
Calculated PXRD pattern of Li3CdHg3 for Cu Kα (λ = 1.5418 Å), from the PBE geometry in Alexandria.

Peak list (10 most intense, 2θ from 5° to 70°, in order of falling intensity)
2θ = 26.14°, intensity 100, (2 2 0); 2θ = 39.57°, intensity 79, (2 2 2); 2θ = 29.17°, intensity 41, (0 0 2); 2θ = 36.97°, intensity 23, (0 4 0); 2θ = 47.77°, intensity 22, (0 4 2); 2θ = 37.63°, intensity 19, (4 0 0); 2θ = 48.31°, intensity 17, (4 0 2); 2θ = 62.35°, intensity 15, (4 4 2); 2θ = 67.03°, intensity 15, (2 2 4); 2θ = 68.36°, intensity 14, (2 6 2)

Atomic structure:
a = 9.5608 Å, b = 9.7256 Å, c = 6.1221 Å
α = 90.00°, β = 90.00°, γ = 90.00°
Space group Cmmm (No. 65)
One atom of each set of equivalent atoms:
Li 0.0000 0.0000 0.2492 x4
Li 0.2500 0.2500 0.2516 x8
Cd 0.2109 0.5000 0.0000 x4
Hg 0.0000 0.2580 0.0000 x4
Hg 0.0000 0.2641 0.5000 x4
Hg 0.2321 0.5000 0.5000 x4


Record 8
Calculated PXRD pattern of Li3Cd12Hg for Cu Kα (λ = 1.5418 Å), from the PBE geometry in Alexandria.

Peak list (10 most intense, 2θ from 5° to 70°, in order of falling intensity)
2θ = 35.37°, intensity 100, (1 1 4); 2θ = 41.58°, intensity 32, (2 0 0); 2θ = 59.10°, intensity 21, (2 0 8); 2θ = 40.05°, intensity 17, (0 0 8); 2θ = 69.73°, intensity 12, (1 1 12); 2θ = 60.26°, intensity 10, (2 2 0); 2θ = 21.04°, intensity 6, (1 0 1); 2θ = 9.82°, intensity 5, (0 0 2); 2θ = 20.44°, intensity 5, (1 0 0); 2θ = 22.73°, intensity 5, (1 0 2)

Atomic structure:
a = 4.3439 Å, b = 4.3439 Å, c = 18.0118 Å
α = 90.00°, β = 90.00°, γ = 90.00°
Space group P4/mmm (No. 123)
One atom of each set of equivalent atoms:
Li 0.0000 0.0000 0.0000 x1
Li 0.0000 0.0000 0.2440 x2
Cd 0.0000 0.5000 0.1225 x4
Cd 0.0000 0.5000 0.3673 x4
Cd 0.5000 0.5000 0.0000 x1
Cd 0.5000 0.5000 0.2456 x2
Cd 0.5000 0.5000 0.5000 x1
Hg 0.0000 0.0000 0.5000 x1


Record 9
Calculated PXRD pattern of Li7Cd4Hg for Cu Kα (λ = 1.5418 Å), from the PBE geometry in Alexandria.

Peak list (10 most intense, 2θ from 5° to 70°, in order of falling intensity)
2θ = 23.14°, intensity 100, (0 1 1); 2θ = 38.16°, intensity 55, (1 1 0); 2θ = 38.59°, intensity 53, (1 0 4); 2θ = 32.22°, intensity 49, (0 1 3); 2θ = 26.88°, intensity 20, (0 1 2); 2θ = 69.25°, intensity 18, (2 1 4); 2θ = 55.39°, intensity 18, (0 2 4); 2θ = 45.10°, intensity 17, (2 0 1); 2θ = 56.19°, intensity 16, (1 1 5); 2θ = 7.78°, intensity 15, (0 0 1)

Atomic structure:
a = 4.7170 Å, b = 4.7170 Å, c = 11.3691 Å
α = 90.00°, β = 90.00°, γ = 120.00°
Space group P-3m1 (No. 164)
One atom of each set of equivalent atoms:
Li 0.0000 0.0000 0.0000 x1
Li 0.0000 0.0000 0.2534 x2
Li 0.3333 0.6667 0.1710 x2
Li 0.3333 0.6667 0.4256 x2
Cd 0.3333 0.6667 0.6689 x2
Cd 0.3333 0.6667 0.9260 x2
Hg 0.0000 0.0000 0.5000 x1


Record 10
Calculated PXRD pattern of LiCd6Hg4 for Cu Kα (λ = 1.5418 Å), from the PBE geometry in Alexandria.

Peak list (10 most intense, 2θ from 5° to 70°, in order of falling intensity)
2θ = 38.32°, intensity 100, (3 0 1); 2θ = 21.46°, intensity 92, (1 0 2); 2θ = 26.13°, intensity 92, (2 0 1); 2θ = 42.57°, intensity 91, (2 1 3); 2θ = 30.37°, intensity 71, (2 0 2); 2θ = 37.36°, intensity 49, (2 1 2); 2θ = 33.92°, intensity 47, (2 1 1); 2θ = 17.57°, intensity 44, (0 0 2); 2θ = 67.47°, intensity 41, (3 2 4); 2θ = 43.25°, intensity 40, (2 2 0)

Atomic structure:
a = 8.3670 Å, b = 8.3670 Å, c = 10.0928 Å
α = 90.00°, β = 90.00°, γ = 120.00°
Space group P6_3mc (No. 186)
One atom of each set of equivalent atoms:
Li 0.3333 0.6667 0.0000 x2
Cd 0.0643 0.5321 0.2410 x6
Cd 0.2112 0.4225 0.4741 x6
Hg 0.1336 0.2672 0.0783 x6
Hg 0.3333 0.6667 0.7332 x2


Record 11
Calculated PXRD pattern of LiCd4Hg5 for Cu Kα (λ = 1.5418 Å), from the PBE geometry in Alexandria.

Peak list (10 most intense, 2θ from 5° to 70°, in order of falling intensity)
2θ = 32.62°, intensity 100, (0 1 -5); 2θ = 32.42°, intensity 96, (-1 1 1); 2θ = 36.98°, intensity 71, (1 1 -1); 2θ = 35.96°, intensity 68, (0 1 5); 2θ = 37.40°, intensity 67, (1 0 4); 2θ = 40.95°, intensity 50, (0 2 0); 2θ = 41.84°, intensity 46, (1 0 -6); 2θ = 20.15°, intensity 40, (0 1 0); 2θ = 51.11°, intensity 28, (1 -2 4); 2θ = 28.03°, intensity 20, (1 0 -1)

Atomic structure:
a = 3.2361 Å, b = 4.4773 Å, c = 16.3436 Å
α = 94.97°, β = 94.31°, γ = 98.38°
Space group P-1 (No. 2)
One atom of each set of equivalent atoms:
Li 0.0000 0.0000 0.0000 x1
Cd 0.2122 0.9795 0.1898 x2
Cd 0.3973 0.9960 0.3969 x2
Hg 0.0000 0.5000 0.5000 x1
Hg 0.2029 0.5081 0.7060 x2
Hg 0.3856 0.5328 0.9093 x2


Record 12
Calculated PXRD pattern of LiCd3Hg for Cu Kα (λ = 1.5418 Å), from the PBE geometry in Alexandria.

Peak list (10 most intense, 2θ from 5° to 70°, in order of falling intensity)
2θ = 38.83°, intensity 100, (2 2 1); 2θ = 37.73°, intensity 72, (2 0 2); 2θ = 30.84°, intensity 70, (0 2 1); 2θ = 18.86°, intensity 47, (2 0 0); 2θ = 35.80°, intensity 38, (4 0 -1); 2θ = 47.95°, intensity 31, (4 2 0); 2θ = 30.31°, intensity 20, (3 1 -1); 2θ = 61.96°, intensity 16, (0 2 4); 2θ = 66.35°, intensity 14, (6 2 0); 2θ = 58.67°, intensity 12, (2 2 3)

Atomic structure:
a = 10.0341 Å, b = 6.4164 Å, c = 7.2287 Å
α = 90.00°, β = 110.43°, γ = 90.00°
Space group C2/m (No. 12)
One atom of each set of equivalent atoms:
Li 0.0597 0.0000 0.2475 x4
Cd 0.0558 0.5000 0.2198 x4
Cd 0.1544 0.2465 0.6181 x8
Hg 0.2230 0.0000 0.0054 x4


Copy entry 2 word for word.
Calculated PXRD pattern of Li7CdHg2 for Cu Kα (λ = 1.5418 Å), from the PBE geometry in Alexandria.

Peak list (10 most intense, 2θ from 5° to 70°, in order of falling intensity)
2θ = 23.87°, intensity 100, (1 0 1); 2θ = 28.26°, intensity 44, (0 1 2); 2θ = 39.00°, intensity 33, (1 1 0); 2θ = 34.45°, intensity 28, (1 0 3); 2θ = 41.76°, intensity 27, (0 1 4); 2θ = 17.24°, intensity 22, (0 0 2); 2θ = 46.24°, intensity 18, (0 2 1); 2θ = 62.04°, intensity 15, (2 1 1); 2θ = 60.25°, intensity 14, (1 1 5); 2θ = 42.93°, intensity 14, (1 1 2)

Atomic structure:
a = 4.6192 Å, b = 4.6192 Å, c = 10.2853 Å
α = 90.00°, β = 90.00°, γ = 120.00°
Space group P3m1 (No. 156)
One atom of each set of equivalent atoms:
Li 0.0000 0.0000 0.0000 x1
Li 0.0000 0.0000 0.2453 x1
Li 0.0000 0.0000 0.7494 x1
Li 0.3333 0.6667 0.3946 x1
Li 0.3333 0.6667 0.8071 x1
Li 0.6667 0.3333 0.1931 x1
Li 0.6667 0.3333 0.5999 x1
Cd 0.6667 0.3333 0.8998 x1
Hg 0.0000 0.0000 0.4976 x1
Hg 0.3333 0.6667 0.1050 x1


What did the twelfth record say?
Calculated PXRD pattern of LiCd3Hg for Cu Kα (λ = 1.5418 Å), from the PBE geometry in Alexandria.

Peak list (10 most intense, 2θ from 5° to 70°, in order of falling intensity)
2θ = 38.83°, intensity 100, (2 2 1); 2θ = 37.73°, intensity 72, (2 0 2); 2θ = 30.84°, intensity 70, (0 2 1); 2θ = 18.86°, intensity 47, (2 0 0); 2θ = 35.80°, intensity 38, (4 0 -1); 2θ = 47.95°, intensity 31, (4 2 0); 2θ = 30.31°, intensity 20, (3 1 -1); 2θ = 61.96°, intensity 16, (0 2 4); 2θ = 66.35°, intensity 14, (6 2 0); 2θ = 58.67°, intensity 12, (2 2 3)

Atomic structure:
a = 10.0341 Å, b = 6.4164 Å, c = 7.2287 Å
α = 90.00°, β = 110.43°, γ = 90.00°
Space group C2/m (No. 12)
One atom of each set of equivalent atoms:
Li 0.0597 0.0000 0.2475 x4
Cd 0.0558 0.5000 0.2198 x4
Cd 0.1544 0.2465 0.6181 x8
Hg 0.2230 0.0000 0.0054 x4